1.
Starting from a DFT-relaxed cell (PBE, Alexandria), the XRD peak list of Ce2BeB10 was calculated for λ = 1.5418 Å (Cu Kα).
Peak positions follow from Bragg's law for the DFT cell and can differ from measured ones.

Crystal structure
a b c (Å): 5.5597 11.0018 4.1425
angles (deg): 90.00 90.00 90.00
Space group Pbam (No. 55)
Inequivalent atoms, fractional coordinates:
Ce 0.1929 0.1353 0.0000
Be 0.0000 0.5000 0.5000
B 0.0256 0.3145 0.5000
B 0.1284 0.9611 0.5000
B 0.1617 0.8026 0.5000
B 0.1966 0.3885 0.1998

Main lines, by angle (2θ from 10° to 90°):
h k l	2theta	I_rel
0 0 1	21.45	47
1 2 0	22.74	67
1 2 1	31.46	100
0 4 0	32.55	26
2 0 1	39.02	21
0 4 1	39.32	34
2 4 0	46.46	18
1 2 2	49.83	33



2.
Starting from a DFT-relaxed cell (PBE, Alexandria), the XRD peak list of Pu4ZnRh4 was calculated for λ = 1.5418 Å (Cu Kα).
Peak positions follow from Bragg's law for the DFT cell and can differ from measured ones.

Crystal structure
a b c (Å): 7.9532 7.9532 4.7963
angles (deg): 90.00 90.00 90.00
Space group I4/m (No. 87)
Inequivalent atoms, fractional coordinates:
Pu 0.1397 0.1608 0.0000
Zn 0.0000 0.0000 0.5000
Rh 0.0221 0.6651 0.5000

Main lines, by angle (2θ from 10° to 90°):
h k l	2theta	I_rel
1 0 1	21.64	33
0 0 2	37.50	31
3 0 1	38.81	100
3 3 0	48.57	23
3 4 1	61.41	9
3 3 2	62.93	22
3 0 3	68.54	19
6 3 1	84.11	13



3.
Starting from a DFT-relaxed cell (PBE, Alexandria), the XRD peak list of In7SnPb12 was calculated for λ = 1.5418 Å (Cu Kα).
Peak positions follow from Bragg's law for the DFT cell and can differ from measured ones.

Crystal structure
a b c (Å): 6.7103 10.6190 10.6512
angles (deg): 64.58 88.30 75.74
Space group P-1 (No. 2)
Inequivalent atoms, fractional coordinates:
In 0.0000 0.0000 0.0000
In 0.0731 0.3481 0.8210
In 0.3682 0.8108 0.8538
In 0.4549 0.1326 0.6767
Sn 0.5000 0.0000 0.0000
Pb 0.0574 0.8161 0.3531
Pb 0.1304 0.1695 0.1725
Pb 0.2504 0.4624 0.5001
Pb 0.2512 0.4966 0.0052
Pb 0.2568 0.9663 0.5277
Pb 0.4366 0.6459 0.1991

Main lines, by angle (2θ from 10° to 90°):
h k l	2theta	I_rel
0 1 -1	15.94	26
0 1 2	16.72	28
-2 1 1	30.93	58
0 2 -2	32.20	80
2 3 1	32.97	54
0 2 4	33.80	100
0 4 2	34.92	67
2 1 3	37.63	35